Simulated powder diffraction line list of Sr2In6HgAu for Cu Kα, 1.54184 Å, from a PBE-relaxed structure.
Neutral-atom scattering factors, no anomalous dispersion.

The 12 most intense peaks (2θ = 15–90°), by intensity:
| 2θ/deg | Rel. int. | index |
| --- | --- | --- |
| 29.71 | 100 | 0 2 2 |
| 36.27 | 99 | 3 1 1 |
| 31.72 | 87 | 1 2 2 |
| 18.29 | 83 | 0 2 0 |
| 37.02 | 65 | 0 4 0 |
| 45.13 | 50 | 3 3 1 |
| 21.80 | 38 | 2 0 0 |
| 26.41 | 28 | 2 1 1 |
| 39.90 | 27 | 0 2 3 |
| 42.81 | 26 | 2 1 3 |
| 37.15 | 26 | 2 2 2 |
| 15.88 | 26 | 1 0 1 |

Structural model:
Cell lengths 8.1546, 9.7121, 7.6583 Å; angles 90.00, 90.00, 90.00 degrees
Fractional positions:
1 Sr 0.2500 0.0133 0.1918
2 Sr 0.2500 0.4867 0.1918
3 Sr 0.7500 0.5133 0.8082
4 Sr 0.7500 0.9867 0.8082
5 In 0.0558 0.2500 0.8824
6 In 0.0736 0.7500 0.5102
7 In 0.2500 0.0149 0.6991
8 In 0.2500 0.4851 0.6991
9 In 0.4264 0.7500 0.5102
10 In 0.4442 0.2500 0.8824
11 In 0.5558 0.7500 0.1176
12 In 0.5736 0.2500 0.4898
13 In 0.7500 0.5149 0.3009
14 In 0.7500 0.9851 0.3009
15 In 0.9264 0.2500 0.4898
16 In 0.9442 0.7500 0.1176
17 Hg 0.2500 0.7500 0.8986
18 Hg 0.7500 0.2500 0.1014
19 Au 0.2500 0.2500 0.4678
20 Au 0.7500 0.7500 0.5322